[1]
KZn4B3O9: calculated powder diffractogram (Cu Kα, 1.54184 Å), based on a DFT-relaxed cell (GGA-PBE, the Materials Project).

Structural model:
```
KZn4B3O9
1.0
7.050 0.000 0.000
0.000 5.055 0.000
-0.896 0.000 12.742
K Zn B O
2 8 6 18
Direct
0.000 0.191 0.250
0.000 0.809 0.750
0.209 0.338 0.559
0.209 0.662 0.059
0.489 0.149 0.123
0.489 0.851 0.623
0.511 0.149 0.377
0.511 0.851 0.877
0.791 0.338 0.941
0.791 0.662 0.441
0.186 0.147 0.951
0.186 0.853 0.451
0.500 0.347 0.750
0.500 0.653 0.250
0.814 0.147 0.549
0.814 0.853 0.049
0.033 0.238 0.892
0.033 0.762 0.392
0.260 0.108 0.433
0.260 0.892 0.933
0.275 0.293 0.033
0.275 0.707 0.533
0.409 0.210 0.667
0.409 0.790 0.167
0.500 0.378 0.250
0.500 0.622 0.750
0.591 0.210 0.833
0.591 0.790 0.333
0.725 0.293 0.467
0.725 0.707 0.967
0.740 0.108 0.067
0.740 0.892 0.567
0.967 0.238 0.608
0.967 0.762 0.108
```

Peak list (10 most intense, 2θ = 5–70°, sorted by position)
d/Å  intensity
7.033  565
6.371  624
4.896  494
3.861  716
3.174  679
3.014  561
2.981  547
2.891  1000
2.851  419
2.468  622

[2]
LaB6: calculated powder diffractogram (Cu Kα, 1.54184 Å), based on a DFT-relaxed cell (GGA-PBE, the Materials Project).

Structural model:
```
LaB6
1.0
4.155 0.000 0.000
0.000 4.155 0.000
0.000 0.000 4.155
La B
1 6
Direct
0.000 0.000 0.000
0.200 0.500 0.500
0.500 0.200 0.500
0.500 0.500 0.200
0.500 0.500 0.800
0.500 0.800 0.500
0.800 0.500 0.500
```

Peak list (8 most intense, 2θ = 5–70°, sorted by position)
d/Å  intensity
4.155  629
2.938  1000
2.399  424
2.077  216
1.858  493
1.696  266
1.469  99
1.385  279

[3]
LaMg6B: calculated powder diffractogram (Cu Kα, 1.54184 Å), based on a DFT-relaxed cell (GGA-PBE, the Materials Project).

Structural model:
```
LaMg6B
1.0
4.779 0.000 0.000
0.000 6.473 0.000
0.000 0.000 11.749
La Mg B
2 12 2
Direct
0.000 0.000 0.000
0.000 0.500 0.500
0.000 0.000 0.531
0.000 0.239 0.770
0.000 0.261 0.270
0.000 0.500 0.031
0.000 0.739 0.270
0.000 0.761 0.770
0.500 0.000 0.369
0.500 0.235 0.625
0.500 0.265 0.125
0.500 0.500 0.869
0.500 0.735 0.125
0.500 0.765 0.625
0.500 0.000 0.867
0.500 0.500 0.367
```

Peak list (10 most intense, 2θ = 5–70°, sorted by position)
d/Å  intensity
5.874  459
5.670  674
4.779  399
3.707  355
3.654  850
3.351  355
2.835  632
2.502  787
2.438  1000
2.390  372

[4]
LaMg6B: calculated powder diffractogram (Cu Kα, 1.54184 Å), based on a DFT-relaxed cell (GGA-PBE, the Materials Project).

Structural model:
```
LaMg6B
1.0
4.743 0.000 0.000
0.000 5.746 0.000
0.000 0.000 13.481
La Mg B
2 12 2
Direct
0.000 0.000 0.000
0.000 0.500 0.500
0.000 0.249 0.752
0.000 0.251 0.252
0.000 0.749 0.252
0.000 0.751 0.752
0.500 0.000 0.163
0.500 0.000 0.591
0.500 0.238 0.383
0.500 0.262 0.883
0.500 0.500 0.091
0.500 0.500 0.663
0.500 0.738 0.883
0.500 0.762 0.383
0.000 0.000 0.408
0.000 0.500 0.908
```

Peak list (10 most intense, 2θ = 5–70°, sorted by position)
d/Å  intensity
6.740  360
5.285  681
3.533  1000
2.837  544
2.747  682
2.643  371
2.441  237
2.371  285
2.309  583
1.765  251

[5]
LaMg14BO16: calculated powder diffractogram (Cu Kα, 1.54184 Å), based on a DFT-relaxed cell (GGA-PBE, the Materials Project).

Structural model:
```
LaMg14BO16
1.0
4.383 0.000 0.000
0.000 8.752 0.000
0.000 0.000 8.793
La Mg B O
1 14 1 16
Direct
0.000 0.000 0.000
0.000 0.256 0.265
0.000 0.256 0.735
0.000 0.500 0.000
0.000 0.500 0.500
0.000 0.744 0.265
0.000 0.744 0.735
0.500 0.000 0.274
0.500 0.000 0.726
0.500 0.248 0.500
0.500 0.267 0.000
0.500 0.500 0.255
0.500 0.500 0.745
0.500 0.733 0.000
0.500 0.752 0.500
0.000 0.000 0.500
0.000 0.000 0.260
0.000 0.000 0.740
0.000 0.270 0.000
0.000 0.271 0.500
0.000 0.500 0.250
0.000 0.500 0.750
0.000 0.729 0.500
0.000 0.730 0.000
0.500 0.000 0.000
0.500 0.000 0.500
0.500 0.249 0.249
0.500 0.249 0.751
0.500 0.500 0.000
0.500 0.500 0.500
0.500 0.751 0.249
0.500 0.751 0.751
```

Peak list (10 most intense, 2θ = 5–70°, sorted by position)
d/Å  intensity
8.779  421
6.203  307
3.921  391
3.579  261
2.920  209
2.532  302
2.198  493
2.190  1000
1.551  559
1.548  286

[6]
LaMg14BO16: calculated powder diffractogram (Cu Kα, 1.54184 Å), based on a DFT-relaxed cell (GGA-PBE, the Materials Project).

Structural model:
```
LaMg14BO16
1.0
8.768 0.000 0.000
0.000 8.768 0.000
0.000 0.000 4.381
La Mg B O
1 14 1 16
Direct
0.000 0.000 0.000
0.000 0.271 0.500
0.000 0.500 0.000
0.000 0.729 0.500
0.257 0.500 0.500
0.265 0.265 0.000
0.265 0.735 0.000
0.271 0.000 0.500
0.500 0.000 0.000
0.500 0.257 0.500
0.500 0.743 0.500
0.729 0.000 0.500
0.735 0.265 0.000
0.735 0.735 0.000
0.743 0.500 0.500
0.500 0.500 0.000
0.000 0.000 0.500
0.000 0.268 0.000
0.000 0.500 0.500
0.000 0.732 0.000
0.235 0.500 0.000
0.250 0.250 0.500
0.250 0.750 0.500
0.268 0.000 0.000
0.500 0.000 0.500
0.500 0.235 0.000
0.500 0.500 0.500
0.500 0.765 0.000
0.732 0.000 0.000
0.750 0.250 0.500
0.750 0.750 0.500
0.765 0.500 0.000
```

Peak list (10 most intense, 2θ = 5–70°, sorted by position)
d/Å  intensity
8.768  387
4.383  107
3.920  374
2.922  322
2.530  201
2.432  113
2.191  1000
1.913  112
1.628  100
1.550  562

[7]
La5B2N6: calculated powder diffractogram (Cu Kα, 1.54184 Å), based on a DFT-relaxed cell (GGA-PBE, the Materials Project).

Structural model:
```
La5B2N6
1.0
6.281 -1.853 0.000
6.281 1.853 0.000
-2.438 0.000 8.728
La B N
5 2 6
Direct
0.000 0.000 0.000
0.308 0.308 0.181
0.375 0.375 0.625
0.625 0.625 0.375
0.692 0.692 0.819
0.055 0.055 0.589
0.945 0.945 0.411
0.026 0.026 0.737
0.171 0.171 0.583
0.344 0.344 0.922
0.656 0.656 0.078
0.829 0.829 0.417
0.974 0.974 0.263
```

Peak list (10 most intense, 2θ = 5–70°, sorted by position)
d/Å  intensity
3.377  295
3.159  688
3.130  591
2.950  558
2.864  1000
2.729  976
2.479  347
1.872  471
1.796  288
1.611  429